The following is a computed powder diffractogram of Rb5Fe3O6. It was derived from the GGA+U geometry in Alexandria, using Cu Kα X-rays.
Kinematic intensities with the Lorentz-polarization factor, no thermal factor.

Largest 10 diffraction maxima, in order of rising 2θ, 15 to 90 degrees two-theta:
- 2θ = 28.60°, I = 52
- 2θ = 31.24°, I = 100
- 2θ = 40.89°, I = 22
- 2θ = 52.34°, I = 40
- 2θ = 57.17°, I = 15
- 2θ = 59.21°, I = 8
- 2θ = 65.16°, I = 12
- 2θ = 67.06°, I = 9
- 2θ = 68.47°, I = 8
- 2θ = 82.94°, I = 9

```
data_Rb5Fe3O6
_chemical_formula_sum 'Rb10 Fe6 O12'
_cell_length_a 9.7770
_cell_length_b 9.7770
_cell_length_c 9.7770
_cell_angle_alpha 126.32
_cell_angle_beta 126.32
_cell_angle_gamma 79.36
_space_group_name_H-M_alt 'P 1'
_space_group_IT_number 1
loop_
_space_group_symop_operation_xyz
'x,y,z'
loop_
_atom_site_label
_atom_site_type_symbol
_atom_site_fract_x
_atom_site_fract_y
_atom_site_fract_z
_atom_site_occupancy
Rb1 Rb 0.0000 0.0000 0.0000 1
Rb2 Rb 0.1570 0.1250 0.5320 1
Rb3 Rb 0.2437 0.2437 0.0000 1
Rb4 Rb 0.3750 0.8430 0.9680 1
Rb5 Rb 0.5063 0.0063 0.5000 1
Rb6 Rb 0.5930 0.6250 0.4680 1
Rb7 Rb 0.7500 0.2500 0.5000 1
Rb8 Rb 0.7563 0.7563 0.0000 1
Rb9 Rb 0.8750 0.4070 0.0320 1
Rb10 Rb 0.9937 0.4937 0.5000 1
Fe1 Fe 0.1166 0.6250 0.9916 1
Fe2 Fe 0.2500 0.7500 0.5000 1
Fe3 Fe 0.3750 0.3666 0.4916 1
Fe4 Fe 0.5000 0.5000 0.0000 1
Fe5 Fe 0.6334 0.1250 0.0084 1
Fe6 Fe 0.8750 0.8834 0.5084 1
O1 O 0.1018 0.8342 0.5858 1
O2 O 0.1658 0.7516 0.2676 1
O3 O 0.2484 0.5160 0.4142 1
O4 O 0.2660 0.4984 0.9142 1
O5 O 0.3750 0.1537 0.2787 1
O6 O 0.4840 0.8982 0.7324 1
O7 O 0.5016 0.4158 0.7676 1
O8 O 0.5842 0.3518 0.0858 1
O9 O 0.6482 0.7340 0.2324 1
O10 O 0.8463 0.1250 0.2213 1
O11 O 0.8750 0.0963 0.7213 1
O12 O 0.9037 0.6250 0.7787 1
```

The following is a computed powder diffractogram of Rb5FeO4. It was derived from the GGA+U geometry in Alexandria, using Cu Kα X-rays.
Kinematic intensities with the Lorentz-polarization factor, no thermal factor.

Largest 10 diffraction maxima, in order of rising 2θ, 15 to 90 degrees two-theta:
- 2θ = 26.71°, I = 81
- 2θ = 27.03°, I = 64
- 2θ = 27.58°, I = 100
- 2θ = 28.92°, I = 47
- 2θ = 29.44°, I = 62
- 2θ = 33.15°, I = 96
- 2θ = 34.04°, I = 85
- 2θ = 34.49°, I = 66
- 2θ = 35.34°, I = 47
- 2θ = 44.83°, I = 42

```
data_Rb5FeO4
_chemical_formula_sum 'Rb10 Fe2 O8'
_cell_length_a 8.7492
_cell_length_b 7.4274
_cell_length_c 7.1860
_cell_angle_alpha 90.00
_cell_angle_beta 90.00
_cell_angle_gamma 90.00
_space_group_name_H-M_alt 'P 1'
_space_group_IT_number 1
loop_
_space_group_symop_operation_xyz
'x,y,z'
loop_
_atom_site_label
_atom_site_type_symbol
_atom_site_fract_x
_atom_site_fract_y
_atom_site_fract_z
_atom_site_occupancy
Rb1 Rb 0.0000 0.2454 0.0000 1
Rb2 Rb 0.1880 0.9478 0.6710 1
Rb3 Rb 0.2175 0.3771 0.4919 1
Rb4 Rb 0.2825 0.6229 0.9919 1
Rb5 Rb 0.3120 0.0522 0.1710 1
Rb6 Rb 0.5000 0.7546 0.5000 1
Rb7 Rb 0.6880 0.0522 0.1710 1
Rb8 Rb 0.7175 0.6229 0.9919 1
Rb9 Rb 0.7825 0.3771 0.4919 1
Rb10 Rb 0.8120 0.9478 0.6710 1
Fe1 Fe 0.0000 0.8334 0.2671 1
Fe2 Fe 0.5000 0.1666 0.7671 1
O1 O 0.0000 0.0849 0.3600 1
O2 O 0.0000 0.8520 0.9979 1
O3 O 0.1902 0.7235 0.3481 1
O4 O 0.3098 0.2765 0.8481 1
O5 O 0.5000 0.1480 0.4979 1
O6 O 0.5000 0.9151 0.8600 1
O7 O 0.6902 0.2765 0.8481 1
O8 O 0.8098 0.7235 0.3481 1
```

The following is a computed powder diffractogram of Rb2FeRuO6. It was derived from the GGA+U geometry in Alexandria, using Cu Kα X-rays.
Kinematic intensities with the Lorentz-polarization factor, no thermal factor.

Largest 10 diffraction maxima, in order of rising 2θ, 15 to 90 degrees two-theta:
- 2θ = 16.42°, I = 56
- 2θ = 23.96°, I = 60
- 2θ = 28.64°, I = 100
- 2θ = 37.68°, I = 51
- 2θ = 38.96°, I = 41
- 2θ = 49.06°, I = 38
- 2θ = 50.73°, I = 18
- 2θ = 57.80°, I = 38
- 2θ = 59.29°, I = 19
- 2θ = 73.25°, I = 15

```
data_Rb2FeRuO6
_chemical_formula_sum 'Rb2 Fe1 Ru1 O6'
_cell_length_a 6.2342
_cell_length_b 6.2342
_cell_length_c 5.1157
_cell_angle_alpha 90.00
_cell_angle_beta 90.00
_cell_angle_gamma 120.00
_space_group_name_H-M_alt 'P 1'
_space_group_IT_number 1
loop_
_space_group_symop_operation_xyz
'x,y,z'
loop_
_atom_site_label
_atom_site_type_symbol
_atom_site_fract_x
_atom_site_fract_y
_atom_site_fract_z
_atom_site_occupancy
Rb1 Rb 0.3333 0.6667 0.2655 1
Rb2 Rb 0.6667 0.3333 0.7345 1
Fe1 Fe 0.0000 0.0000 0.0000 1
Ru1 Ru 0.0000 0.0000 0.5000 1
O1 O 0.1403 0.2806 0.7322 1
O2 O 0.1403 0.8597 0.7322 1
O3 O 0.2806 0.1403 0.2678 1
O4 O 0.7194 0.8597 0.7322 1
O5 O 0.8597 0.1403 0.2678 1
O6 O 0.8597 0.7194 0.2678 1
```

The following is a computed powder diffractogram of Rb2FeSeO4. It was derived from the GGA+U geometry in Alexandria, using Cu Kα X-rays.
Kinematic intensities with the Lorentz-polarization factor, no thermal factor.

Largest 10 diffraction maxima, in order of rising 2θ, 15 to 90 degrees two-theta:
- 2θ = 18.06°, I = 50
- 2θ = 21.77°, I = 73
- 2θ = 27.11°, I = 51
- 2θ = 29.11°, I = 63
- 2θ = 30.50°, I = 100
- 2θ = 34.36°, I = 65
- 2θ = 34.47°, I = 23
- 2θ = 42.09°, I = 32
- 2θ = 50.78°, I = 48
- 2θ = 52.72°, I = 31

```
data_Rb2FeSeO4
_chemical_formula_sum 'Rb4 Fe2 Se2 O8'
_cell_length_a 11.8222
_cell_length_b 10.2269
_cell_length_c 7.1656
_cell_angle_alpha 83.67
_cell_angle_beta 59.29
_cell_angle_gamma 37.04
_space_group_name_H-M_alt 'P 1'
_space_group_IT_number 1
loop_
_space_group_symop_operation_xyz
'x,y,z'
loop_
_atom_site_label
_atom_site_type_symbol
_atom_site_fract_x
_atom_site_fract_y
_atom_site_fract_z
_atom_site_occupancy
Rb1 Rb 0.0544 0.0544 0.6956 1
Rb2 Rb 0.3044 0.3044 0.9456 1
Rb3 Rb 0.6956 0.6956 0.0544 1
Rb4 Rb 0.9456 0.9456 0.3044 1
Fe1 Fe 0.1250 0.1250 0.1250 1
Fe2 Fe 0.8750 0.8750 0.8750 1
Se1 Se 0.3750 0.3750 0.3750 1
Se2 Se 0.6250 0.6250 0.6250 1
O1 O 0.0091 0.6790 0.5531 1
O2 O 0.2588 0.5531 0.6790 1
O3 O 0.3210 0.9909 0.7412 1
O4 O 0.4469 0.7412 0.9909 1
O5 O 0.5531 0.2588 0.0091 1
O6 O 0.6790 0.0091 0.2588 1
O7 O 0.7412 0.4469 0.3210 1
O8 O 0.9909 0.3210 0.4469 1
```

The following is a computed powder diffractogram of Rb2SmFeO4. It was derived from the GGA+U geometry in Alexandria, using Cu Kα X-rays.
Kinematic intensities with the Lorentz-polarization factor, no thermal factor.

Largest 10 diffraction maxima, in order of rising 2θ, 15 to 90 degrees two-theta:
- 2θ = 17.65°, I = 12
- 2θ = 28.90°, I = 100
- 2θ = 29.24°, I = 38
- 2θ = 41.82°, I = 18
- 2θ = 51.00°, I = 23
- 2θ = 51.63°, I = 37
- 2θ = 59.88°, I = 12
- 2θ = 68.71°, I = 9
- 2θ = 82.30°, I = 10
- 2θ = 83.62°, I = 9

```
data_Rb2SmFeO4
_chemical_formula_sum 'Rb4 Sm2 Fe2 O8'
_cell_length_a 6.1093
_cell_length_b 6.1093
_cell_length_c 8.8402
_cell_angle_alpha 90.00
_cell_angle_beta 90.00
_cell_angle_gamma 90.00
_space_group_name_H-M_alt 'P 1'
_space_group_IT_number 1
loop_
_space_group_symop_operation_xyz
'x,y,z'
loop_
_atom_site_label
_atom_site_type_symbol
_atom_site_fract_x
_atom_site_fract_y
_atom_site_fract_z
_atom_site_occupancy
Rb1 Rb 0.0000 0.0000 0.0000 1
Rb2 Rb 0.0000 0.5000 0.2500 1
Rb3 Rb 0.5000 0.0000 0.7500 1
Rb4 Rb 0.5000 0.5000 0.5000 1
Sm1 Sm 0.0000 0.0000 0.5000 1
Sm2 Sm 0.5000 0.5000 0.0000 1
Fe1 Fe 0.0000 0.5000 0.7500 1
Fe2 Fe 0.5000 0.0000 0.2500 1
O1 O 0.1367 0.7278 0.6344 1
O2 O 0.2278 0.3633 0.8656 1
O3 O 0.2722 0.1367 0.3656 1
O4 O 0.3633 0.7722 0.1344 1
O5 O 0.6367 0.2278 0.1344 1
O6 O 0.7278 0.8633 0.3656 1
O7 O 0.7722 0.6367 0.8656 1
O8 O 0.8633 0.2722 0.6344 1
```

The following is a computed powder diffractogram of Rb2SrFeO4. It was derived from the GGA+U geometry in Alexandria, using Cu Kα X-rays.
Kinematic intensities with the Lorentz-polarization factor, no thermal factor.

Largest 10 diffraction maxima, in order of rising 2θ, 15 to 90 degrees two-theta:
- 2θ = 19.36°, I = 43
- 2θ = 24.27°, I = 52
- 2θ = 25.88°, I = 78
- 2θ = 27.66°, I = 84
- 2θ = 31.34°, I = 100
- 2θ = 32.29°, I = 90
- 2θ = 35.56°, I = 55
- 2θ = 39.43°, I = 60
- 2θ = 47.54°, I = 36
- 2θ = 55.91°, I = 39

```
data_Rb2SrFeO4
_chemical_formula_sum 'Rb4 Sr2 Fe2 O8'
_cell_length_a 13.8160
_cell_length_b 12.6021
_cell_length_c 7.1372
_cell_angle_alpha 83.98
_cell_angle_beta 65.11
_cell_angle_gamma 30.91
_space_group_name_H-M_alt 'P 1'
_space_group_IT_number 1
loop_
_space_group_symop_operation_xyz
'x,y,z'
loop_
_atom_site_label
_atom_site_type_symbol
_atom_site_fract_x
_atom_site_fract_y
_atom_site_fract_z
_atom_site_occupancy
Rb1 Rb 0.0756 0.0756 0.6744 1
Rb2 Rb 0.3256 0.3256 0.9244 1
Rb3 Rb 0.6744 0.6744 0.0756 1
Rb4 Rb 0.9244 0.9244 0.3256 1
Sr1 Sr 0.1250 0.1250 0.1250 1
Sr2 Sr 0.8750 0.8750 0.8750 1
Fe1 Fe 0.3750 0.3750 0.3750 1
Fe2 Fe 0.6250 0.6250 0.6250 1
O1 O 0.0593 0.6323 0.5028 1
O2 O 0.3056 0.5028 0.6323 1
O3 O 0.3677 0.9407 0.6944 1
O4 O 0.4972 0.6944 0.9407 1
O5 O 0.5028 0.3056 0.0593 1
O6 O 0.6323 0.0593 0.3056 1
O7 O 0.6944 0.4972 0.3677 1
O8 O 0.9407 0.3677 0.4972 1
```

The following is a computed powder diffractogram of Rb4Tb3FeO8. It was derived from the GGA+U geometry in Alexandria, using Cu Kα X-rays.
Kinematic intensities with the Lorentz-polarization factor, no thermal factor.

Largest 10 diffraction maxima, in order of rising 2θ, 15 to 90 degrees two-theta:
- 2θ = 27.31°, I = 45
- 2θ = 31.30°, I = 79
- 2θ = 35.18°, I = 100
- 2θ = 48.03°, I = 35
- 2θ = 53.08°, I = 31
- 2θ = 56.14°, I = 21
- 2θ = 60.71°, I = 28
- 2θ = 65.29°, I = 15
- 2θ = 81.10°, I = 13
- 2θ = 88.93°, I = 13

```
data_Rb4Tb3FeO8
_chemical_formula_sum 'Rb4 Tb3 Fe1 O8'
_cell_length_a 7.6502
_cell_length_b 7.6502
_cell_length_c 7.6502
_cell_angle_alpha 53.62
_cell_angle_beta 53.62
_cell_angle_gamma 53.62
_space_group_name_H-M_alt 'P 1'
_space_group_IT_number 1
loop_
_space_group_symop_operation_xyz
'x,y,z'
loop_
_atom_site_label
_atom_site_type_symbol
_atom_site_fract_x
_atom_site_fract_y
_atom_site_fract_z
_atom_site_occupancy
Rb1 Rb 0.0000 0.0000 0.0000 1
Rb2 Rb 0.0000 0.5000 0.5000 1
Rb3 Rb 0.5000 0.0000 0.5000 1
Rb4 Rb 0.5000 0.5000 0.0000 1
Tb1 Tb 0.0000 0.0000 0.5000 1
Tb2 Tb 0.0000 0.5000 0.0000 1
Tb3 Tb 0.5000 0.0000 0.0000 1
Fe1 Fe 0.5000 0.5000 0.5000 1
O1 O 0.2257 0.2257 0.2257 1
O2 O 0.2414 0.7157 0.7157 1
O3 O 0.2843 0.2843 0.7586 1
O4 O 0.2843 0.7586 0.2843 1
O5 O 0.7157 0.2414 0.7157 1
O6 O 0.7157 0.7157 0.2414 1
O7 O 0.7586 0.2843 0.2843 1
O8 O 0.7743 0.7743 0.7743 1
```

The following is a computed powder diffractogram of RbFeTc2O8. It was derived from the GGA+U geometry in Alexandria, using Cu Kα X-rays.
Kinematic intensities with the Lorentz-polarization factor, no thermal factor.

Largest 10 diffraction maxima, in order of rising 2θ, 15 to 90 degrees two-theta:
- 2θ = 21.04°, I = 100
- 2θ = 29.24°, I = 52
- 2θ = 30.61°, I = 54
- 2θ = 39.52°, I = 9
- 2θ = 42.84°, I = 23
- 2θ = 49.10°, I = 19
- 2θ = 53.56°, I = 18
- 2θ = 54.40°, I = 10
- 2θ = 57.54°, I = 19
- 2θ = 63.72°, I = 10

```
data_RbFeTc2O8
_chemical_formula_sum 'Rb1 Fe1 Tc2 O8'
_cell_length_a 5.8421
_cell_length_b 5.8421
_cell_length_c 7.6623
_cell_angle_alpha 90.00
_cell_angle_beta 90.00
_cell_angle_gamma 120.00
_space_group_name_H-M_alt 'P 1'
_space_group_IT_number 1
loop_
_space_group_symop_operation_xyz
'x,y,z'
loop_
_atom_site_label
_atom_site_type_symbol
_atom_site_fract_x
_atom_site_fract_y
_atom_site_fract_z
_atom_site_occupancy
Rb1 Rb 0.0000 0.0000 0.0000 1
Fe1 Fe 0.0000 0.0000 0.5000 1
Tc1 Tc 0.3333 0.6667 0.7347 1
Tc2 Tc 0.6667 0.3333 0.2653 1
O1 O 0.1678 0.3356 0.6607 1
O2 O 0.1678 0.8322 0.6607 1
O3 O 0.3333 0.6667 0.9626 1
O4 O 0.3356 0.1678 0.3393 1
O5 O 0.6644 0.8322 0.6607 1
O6 O 0.6667 0.3333 0.0374 1
O7 O 0.8322 0.1678 0.3393 1
O8 O 0.8322 0.6644 0.3393 1
```

The following is a computed powder diffractogram of RbTi3FeO8. It was derived from the GGA+U geometry in Alexandria, using Cu Kα X-rays.
Kinematic intensities with the Lorentz-polarization factor, no thermal factor.

Largest 10 diffraction maxima, in order of rising 2θ, 15 to 90 degrees two-theta:
- 2θ = 27.32°, I = 81
- 2θ = 27.46°, I = 93
- 2θ = 27.59°, I = 82
- 2θ = 30.86°, I = 33
- 2θ = 35.52°, I = 68
- 2θ = 35.63°, I = 54
- 2θ = 39.80°, I = 100
- 2θ = 47.29°, I = 64
- 2θ = 56.87°, I = 36
- 2θ = 57.34°, I = 35

```
data_RbTi3FeO8
_chemical_formula_sum 'Rb1 Ti3 Fe1 O8'
_cell_length_a 7.3838
_cell_length_b 7.3838
_cell_length_c 10.2498
_cell_angle_alpha 133.39
_cell_angle_beta 133.39
_cell_angle_gamma 23.60
_space_group_name_H-M_alt 'P 1'
_space_group_IT_number 1
loop_
_space_group_symop_operation_xyz
'x,y,z'
loop_
_atom_site_label
_atom_site_type_symbol
_atom_site_fract_x
_atom_site_fract_y
_atom_site_fract_z
_atom_site_occupancy
Rb1 Rb 0.0000 0.0000 0.0000 1
Ti1 Ti 0.3341 0.3341 0.4880 1
Ti2 Ti 0.6606 0.6606 0.5150 1
Ti3 Ti 0.8416 0.8416 0.1753 1
Fe1 Fe 0.1497 0.1497 0.8151 1
O1 O 0.0394 0.0394 0.3746 1
O2 O 0.2915 0.2915 0.6360 1
O3 O 0.3328 0.3328 0.2954 1
O4 O 0.3496 0.3496 0.0592 1
O5 O 0.6584 0.6584 0.9590 1
O6 O 0.6669 0.6669 0.7037 1
O7 O 0.7053 0.7053 0.3621 1
O8 O 0.9553 0.9553 0.6241 1
```

The following is a computed powder diffractogram of Rb2VFeO5. It was derived from the GGA+U geometry in Alexandria, using Cu Kα X-rays.
Kinematic intensities with the Lorentz-polarization factor, no thermal factor.

Largest 10 diffraction maxima, in order of rising 2θ, 15 to 90 degrees two-theta:
- 2θ = 25.67°, I = 61
- 2θ = 27.54°, I = 80
- 2θ = 27.99°, I = 86
- 2θ = 29.76°, I = 61
- 2θ = 29.91°, I = 100
- 2θ = 33.53°, I = 57
- 2θ = 35.64°, I = 65
- 2θ = 36.02°, I = 44
- 2θ = 38.90°, I = 73
- 2θ = 48.17°, I = 54

```
data_Rb2VFeO5
_chemical_formula_sum 'Rb4 V2 Fe2 O10'
_cell_length_a 8.5114
_cell_length_b 8.5114
_cell_length_c 10.3599
_cell_angle_alpha 90.00
_cell_angle_beta 90.00
_cell_angle_gamma 154.36
_space_group_name_H-M_alt 'P 1'
_space_group_IT_number 1
loop_
_space_group_symop_operation_xyz
'x,y,z'
loop_
_atom_site_label
_atom_site_type_symbol
_atom_site_fract_x
_atom_site_fract_y
_atom_site_fract_z
_atom_site_occupancy
Rb1 Rb 0.0699 0.9301 0.5000 1
Rb2 Rb 0.1205 0.8795 0.1657 1
Rb3 Rb 0.8795 0.1205 0.6657 1
Rb4 Rb 0.9301 0.0699 0.0000 1
V1 V 0.3459 0.6541 0.2595 1
V2 V 0.6541 0.3459 0.7595 1
Fe1 Fe 0.2570 0.7430 0.9255 1
Fe2 Fe 0.7430 0.2570 0.4255 1
O1 O 0.1642 0.8358 0.7920 1
O2 O 0.2923 0.7077 0.1147 1
O3 O 0.2917 0.7083 0.4291 1
O4 O 0.3538 0.6462 0.8472 1
O5 O 0.4458 0.5542 0.2259 1
O6 O 0.5542 0.4458 0.7259 1
O7 O 0.6462 0.3538 0.3472 1
O8 O 0.7077 0.2923 0.6147 1
O9 O 0.7083 0.2917 0.9291 1
O10 O 0.8358 0.1642 0.2920 1
```

The following is a computed powder diffractogram of RbFe2WO8. It was derived from the GGA+U geometry in Alexandria, using Cu Kα X-rays.
Kinematic intensities with the Lorentz-polarization factor, no thermal factor.

Largest 10 diffraction maxima, in order of rising 2θ, 15 to 90 degrees two-theta:
- 2θ = 18.59°, I = 68
- 2θ = 21.72°, I = 63
- 2θ = 29.23°, I = 100
- 2θ = 32.50°, I = 57
- 2θ = 39.80°, I = 18
- 2θ = 44.26°, I = 34
- 2θ = 49.66°, I = 15
- 2θ = 55.97°, I = 33
- 2θ = 57.11°, I = 20
- 2θ = 57.97°, I = 15

```
data_RbFe2WO8
_chemical_formula_sum 'Rb1 Fe2 W1 O8'
_cell_length_a 5.5107
_cell_length_b 5.5107
_cell_length_c 7.9561
_cell_angle_alpha 90.00
_cell_angle_beta 90.00
_cell_angle_gamma 120.00
_space_group_name_H-M_alt 'P 1'
_space_group_IT_number 1
loop_
_space_group_symop_operation_xyz
'x,y,z'
loop_
_atom_site_label
_atom_site_type_symbol
_atom_site_fract_x
_atom_site_fract_y
_atom_site_fract_z
_atom_site_occupancy
Rb1 Rb 0.0000 0.0000 0.0000 1
Fe1 Fe 0.3333 0.6667 0.7137 1
Fe2 Fe 0.6667 0.3333 0.2863 1
W1 W 0.0000 0.0000 0.5000 1
O1 O 0.0729 0.3152 0.6416 1
O2 O 0.2423 0.9271 0.6416 1
O3 O 0.3152 0.2423 0.3584 1
O4 O 0.3333 0.6667 0.9260 1
O5 O 0.6667 0.3333 0.0740 1
O6 O 0.6848 0.7577 0.6416 1
O7 O 0.7577 0.0729 0.3584 1
O8 O 0.9271 0.6848 0.3584 1
```

The following is a computed powder diffractogram of FeReO4. It was derived from the GGA+U geometry in Alexandria, using Cu Kα X-rays.
Kinematic intensities with the Lorentz-polarization factor, no thermal factor.

Largest 10 diffraction maxima, in order of rising 2θ, 15 to 90 degrees two-theta:
- 2θ = 18.90°, I = 9
- 2θ = 19.06°, I = 100
- 2θ = 23.47°, I = 10
- 2θ = 30.30°, I = 41
- 2θ = 33.14°, I = 16
- 2θ = 33.43°, I = 12
- 2θ = 38.75°, I = 27
- 2θ = 47.79°, I = 17
- 2θ = 51.76°, I = 11
- 2θ = 57.82°, I = 13

```
data_FeReO4
_chemical_formula_sum 'Fe2 Re2 O8'
_cell_length_a 5.3611
_cell_length_b 5.3611
_cell_length_c 9.3904
_cell_angle_alpha 90.00
_cell_angle_beta 90.00
_cell_angle_gamma 90.00
_space_group_name_H-M_alt 'P 1'
_space_group_IT_number 1
loop_
_space_group_symop_operation_xyz
'x,y,z'
loop_
_atom_site_label
_atom_site_type_symbol
_atom_site_fract_x
_atom_site_fract_y
_atom_site_fract_z
_atom_site_occupancy
Fe1 Fe 0.0000 0.0000 0.0000 1
Fe2 Fe 0.5000 0.5000 0.5000 1
Re1 Re 0.0000 0.5000 0.2500 1
Re2 Re 0.5000 0.0000 0.7500 1
O1 O 0.1189 0.2589 0.1357 1
O2 O 0.2411 0.6189 0.3643 1
O3 O 0.2589 0.8811 0.8643 1
O4 O 0.3811 0.2411 0.6357 1
O5 O 0.6189 0.7589 0.6357 1
O6 O 0.7411 0.1189 0.8643 1
O7 O 0.7589 0.3811 0.3643 1
O8 O 0.8811 0.7411 0.1357 1
```

Repeat the seventh record exactly.
The following is a computed powder diffractogram of Rb4Tb3FeO8. It was derived from the GGA+U geometry in Alexandria, using Cu Kα X-rays.
Kinematic intensities with the Lorentz-polarization factor, no thermal factor.

Largest 10 diffraction maxima, in order of rising 2θ, 15 to 90 degrees two-theta:
- 2θ = 27.31°, I = 45
- 2θ = 31.30°, I = 79
- 2θ = 35.18°, I = 100
- 2θ = 48.03°, I = 35
- 2θ = 53.08°, I = 31
- 2θ = 56.14°, I = 21
- 2θ = 60.71°, I = 28
- 2θ = 65.29°, I = 15
- 2θ = 81.10°, I = 13
- 2θ = 88.93°, I = 13

```
data_Rb4Tb3FeO8
_chemical_formula_sum 'Rb4 Tb3 Fe1 O8'
_cell_length_a 7.6502
_cell_length_b 7.6502
_cell_length_c 7.6502
_cell_angle_alpha 53.62
_cell_angle_beta 53.62
_cell_angle_gamma 53.62
_space_group_name_H-M_alt 'P 1'
_space_group_IT_number 1
loop_
_space_group_symop_operation_xyz
'x,y,z'
loop_
_atom_site_label
_atom_site_type_symbol
_atom_site_fract_x
_atom_site_fract_y
_atom_site_fract_z
_atom_site_occupancy
Rb1 Rb 0.0000 0.0000 0.0000 1
Rb2 Rb 0.0000 0.5000 0.5000 1
Rb3 Rb 0.5000 0.0000 0.5000 1
Rb4 Rb 0.5000 0.5000 0.0000 1
Tb1 Tb 0.0000 0.0000 0.5000 1
Tb2 Tb 0.0000 0.5000 0.0000 1
Tb3 Tb 0.5000 0.0000 0.0000 1
Fe1 Fe 0.5000 0.5000 0.5000 1
O1 O 0.2257 0.2257 0.2257 1
O2 O 0.2414 0.7157 0.7157 1
O3 O 0.2843 0.2843 0.7586 1
O4 O 0.2843 0.7586 0.2843 1
O5 O 0.7157 0.2414 0.7157 1
O6 O 0.7157 0.7157 0.2414 1
O7 O 0.7586 0.2843 0.2843 1
O8 O 0.7743 0.7743 0.7743 1
```

Please write out number 2 again, unchanged.
The following is a computed powder diffractogram of Rb5FeO4. It was derived from the GGA+U geometry in Alexandria, using Cu Kα X-rays.
Kinematic intensities with the Lorentz-polarization factor, no thermal factor.

Largest 10 diffraction maxima, in order of rising 2θ, 15 to 90 degrees two-theta:
- 2θ = 26.71°, I = 81
- 2θ = 27.03°, I = 64
- 2θ = 27.58°, I = 100
- 2θ = 28.92°, I = 47
- 2θ = 29.44°, I = 62
- 2θ = 33.15°, I = 96
- 2θ = 34.04°, I = 85
- 2θ = 34.49°, I = 66
- 2θ = 35.34°, I = 47
- 2θ = 44.83°, I = 42

```
data_Rb5FeO4
_chemical_formula_sum 'Rb10 Fe2 O8'
_cell_length_a 8.7492
_cell_length_b 7.4274
_cell_length_c 7.1860
_cell_angle_alpha 90.00
_cell_angle_beta 90.00
_cell_angle_gamma 90.00
_space_group_name_H-M_alt 'P 1'
_space_group_IT_number 1
loop_
_space_group_symop_operation_xyz
'x,y,z'
loop_
_atom_site_label
_atom_site_type_symbol
_atom_site_fract_x
_atom_site_fract_y
_atom_site_fract_z
_atom_site_occupancy
Rb1 Rb 0.0000 0.2454 0.0000 1
Rb2 Rb 0.1880 0.9478 0.6710 1
Rb3 Rb 0.2175 0.3771 0.4919 1
Rb4 Rb 0.2825 0.6229 0.9919 1
Rb5 Rb 0.3120 0.0522 0.1710 1
Rb6 Rb 0.5000 0.7546 0.5000 1
Rb7 Rb 0.6880 0.0522 0.1710 1
Rb8 Rb 0.7175 0.6229 0.9919 1
Rb9 Rb 0.7825 0.3771 0.4919 1
Rb10 Rb 0.8120 0.9478 0.6710 1
Fe1 Fe 0.0000 0.8334 0.2671 1
Fe2 Fe 0.5000 0.1666 0.7671 1
O1 O 0.0000 0.0849 0.3600 1
O2 O 0.0000 0.8520 0.9979 1
O3 O 0.1902 0.7235 0.3481 1
O4 O 0.3098 0.2765 0.8481 1
O5 O 0.5000 0.1480 0.4979 1
O6 O 0.5000 0.9151 0.8600 1
O7 O 0.6902 0.2765 0.8481 1
O8 O 0.8098 0.7235 0.3481 1
```